# 1
FeSbO4: theoretical powder X-ray diffraction pattern (Cu Kα (weighted mean of Kα1 and Kα2)), based on a PBE+U-relaxed structure.
Neutral-atom scattering factors, no anomalous dispersion.

Atomic structure:
a = 6.688 Å, b = 6.688 Å, c = 6.105 Å
α = 90.00°, β = 90.00°, γ = 90.00°
Space group I4_1md (No. 109)
Asymmetric unit:
Fe: 0.000 0.000 0.000 [4 per cell]
Sb: 0.000 0.000 0.511 [4 per cell]
O: 0.000 0.309 0.505 [8 per cell]
O: 0.000 0.311 0.011 [8 per cell]

The 6 most intense peaks (15° ≤ 2θ ≤ 90°), low angle first:
19.69°, I = 208, hkl 1 0 1; 26.66°, I = 1000, hkl 2 0 0; 34.99°, I = 648, hkl 1 1 2; 38.05°, I = 187, hkl 2 2 0; 52.65°, I = 614, hkl 3 1 2; 66.79°, I = 196, hkl 3 3 2

=====

# 2
FeSbO4: theoretical powder X-ray diffraction pattern (Cu Kα (weighted mean of Kα1 and Kα2)), based on a PBE+U-relaxed structure.
Neutral-atom scattering factors, no anomalous dispersion.

Atomic structure:
a = 6.529 Å, b = 6.790 Å, c = 3.116 Å
α = 90.00°, β = 90.00°, γ = 90.00°
Space group Cmmm (No. 65)
Asymmetric unit:
Fe: 0.000 0.000 0.000 [2 per cell]
Sb: 0.000 0.500 0.500 [2 per cell]
O: 0.000 0.308 0.000 [4 per cell]
O: 0.196 0.000 0.500 [4 per cell]

The 6 most intense peaks (15° ≤ 2θ ≤ 90°), low angle first:
18.86°, I = 348, hkl 1 1 0; 26.25°, I = 747, hkl 0 2 0; 27.32°, I = 666, hkl 2 0 0; 34.52°, I = 1000, hkl 1 1 1; 51.85°, I = 470, hkl 1 3 1; 53.07°, I = 430, hkl 3 1 1

=====

# 3
FeSb2O6: theoretical powder X-ray diffraction pattern (Cu Kα (weighted mean of Kα1 and Kα2)), based on a PBE+U-relaxed structure.
Neutral-atom scattering factors, no anomalous dispersion.

Atomic structure:
a = 4.751 Å, b = 4.751 Å, c = 9.488 Å
α = 90.00°, β = 90.00°, γ = 90.00°
Space group P4_2/mnm (No. 136)
Asymmetric unit:
Fe: 0.000 0.000 0.000 [2 per cell]
Sb: 0.000 0.000 0.332 [4 per cell]
O: 0.188 0.188 0.500 [4 per cell]
O: 0.199 0.199 0.173 [8 per cell]

The 6 most intense peaks (15° ≤ 2θ ≤ 90°), low angle first:
26.53°, I = 1000, hkl 1 1 0; 34.05°, I = 754, hkl 1 0 3; 37.88°, I = 204, hkl 2 0 0; 51.84°, I = 663, hkl 2 1 3; 54.65°, I = 173, hkl 2 2 0; 65.98°, I = 213, hkl 3 0 3

=====

# 4
FeSb4O12: theoretical powder X-ray diffraction pattern (Cu Kα (weighted mean of Kα1 and Kα2)), based on a PBE+U-relaxed structure.
Neutral-atom scattering factors, no anomalous dispersion.

Atomic structure:
a = 5.172 Å, b = 5.485 Å, c = 7.580 Å
α = 85.35°, β = 89.90°, γ = 89.65°
Space group P1 (No. 1)
Asymmetric unit:
Fe: 0.000 0.000 0.000 [1 per cell]
Sb: 0.004 0.592 0.782 [1 per cell]
Sb: 0.492 0.106 0.296 [1 per cell]
Sb: 0.499 0.111 0.778 [1 per cell]
Sb: 0.993 0.591 0.305 [1 per cell]
O: 0.103 0.637 0.045 [1 per cell]
O: 0.172 0.928 0.757 [1 per cell]
O: 0.174 0.279 0.358 [1 per cell]
O: 0.310 0.786 0.357 [1 per cell]
O: 0.329 0.431 0.728 [1 per cell]
O: 0.356 0.114 0.039 [1 per cell]
O: 0.634 0.098 0.538 [1 per cell]
O: 0.678 0.419 0.227 [1 per cell]
O: 0.714 0.818 0.866 [1 per cell]
O: 0.813 0.922 0.225 [1 per cell]
O: 0.817 0.284 0.871 [1 per cell]
O: 0.855 0.605 0.546 [1 per cell]

The 6 most intense peaks (15° ≤ 2θ ≤ 90°), low angle first:
23.58°, I = 1000, hkl 1 1 0; 23.75°, I = 498, hkl 1 -1 0; 32.60°, I = 243, hkl 1 1 2; 32.75°, I = 473, hkl -1 1 2; 34.60°, I = 343, hkl 1 -1 2; 42.36°, I = 215, hkl 0 2 -2

=====

# 5
FeSbO4: theoretical powder X-ray diffraction pattern (Cu Kα (weighted mean of Kα1 and Kα2)), based on a PBE+U-relaxed structure.
Neutral-atom scattering factors, no anomalous dispersion.

Atomic structure:
a = 6.560 Å, b = 6.722 Å, c = 9.194 Å
α = 90.00°, β = 90.00°, γ = 90.00°
Space group Cmm2 (No. 35)
Asymmetric unit:
Fe: 0.000 0.000 0.000 [2 per cell]
Fe: 0.000 0.000 0.327 [2 per cell]
Fe: 0.000 0.500 0.835 [2 per cell]
Sb: 0.000 0.000 0.672 [2 per cell]
Sb: 0.000 0.500 0.159 [2 per cell]
Sb: 0.000 0.500 0.499 [2 per cell]
O: 0.000 0.308 0.666 [4 per cell]
O: 0.000 0.309 0.333 [4 per cell]
O: 0.000 0.309 0.994 [4 per cell]
O: 0.190 0.000 0.497 [4 per cell]
O: 0.192 0.000 0.168 [4 per cell]
O: 0.199 0.000 0.830 [4 per cell]

The 6 most intense peaks (15° ≤ 2θ ≤ 90°), low angle first:
26.52°, I = 771, hkl 0 2 0; 27.19°, I = 779, hkl 2 0 0; 34.96°, I = 1000, hkl 1 1 3; 52.48°, I = 473, hkl 1 3 3; 53.24°, I = 447, hkl 3 1 3; 67.16°, I = 386, hkl 3 3 3

=====

# 6
FeSb2O4: theoretical powder X-ray diffraction pattern (Cu Kα (weighted mean of Kα1 and Kα2)), based on a PBE+U-relaxed structure.
Neutral-atom scattering factors, no anomalous dispersion.

Atomic structure:
a = 8.602 Å, b = 8.602 Å, c = 6.530 Å
α = 90.00°, β = 90.00°, γ = 90.00°
Space group P4_2/m (No. 84)
Asymmetric unit:
Fe: 0.000 0.500 0.243 [4 per cell]
Sb: 0.067 0.187 0.500 [4 per cell]
Sb: 0.295 0.683 0.500 [4 per cell]
O: 0.117 0.400 0.000 [4 per cell]
O: 0.124 0.742 0.295 [8 per cell]
O: 0.131 0.404 0.500 [4 per cell]

The 6 most intense peaks (15° ≤ 2θ ≤ 90°), low angle first:
19.95°, I = 227, hkl 1 1 1; 26.90°, I = 1000, hkl 1 2 1; 32.93°, I = 248, hkl 3 1 0; 34.49°, I = 218, hkl 2 0 2; 35.76°, I = 292, hkl 1 3 1; 47.20°, I = 287, hkl 2 4 0

=====

# 7
Tb2FeSbO7: theoretical powder X-ray diffraction pattern (Cu Kα (weighted mean of Kα1 and Kα2)), based on a PBE+U-relaxed structure.
Neutral-atom scattering factors, no anomalous dispersion.

Atomic structure:
a = 7.280 Å, b = 7.384 Å, c = 10.333 Å
α = 90.00°, β = 90.00°, γ = 90.00°
Space group Imma (No. 74)
Asymmetric unit:
Tb: 0.000 0.000 0.000 [4 per cell]
Tb: 0.250 0.250 0.250 [4 per cell]
Fe: 0.250 0.250 0.750 [4 per cell]
Sb: 0.000 0.000 0.500 [4 per cell]
O: 0.000 0.250 0.127 [4 per cell]
O: 0.000 0.250 0.420 [4 per cell]
O: 0.000 0.250 0.839 [4 per cell]
O: 0.204 0.036 0.626 [16 per cell]

The 6 most intense peaks (15° ≤ 2θ ≤ 90°), low angle first:
29.74°, I = 1000, hkl 0 2 2; 30.03°, I = 991, hkl 2 0 2; 34.60°, I = 427, hkl 2 2 0; 49.84°, I = 629, hkl 2 2 4; 58.87°, I = 288, hkl 2 4 2; 59.37°, I = 417, hkl 2 0 6

=====

# 8
VFeSbO6: theoretical powder X-ray diffraction pattern (Cu Kα (weighted mean of Kα1 and Kα2)), based on a PBE+U-relaxed structure.
Neutral-atom scattering factors, no anomalous dispersion.

Atomic structure:
a = 4.635 Å, b = 4.635 Å, c = 9.276 Å
α = 90.00°, β = 90.00°, γ = 90.00°
Space group P4_2nm (No. 102)
Asymmetric unit:
V: 0.000 0.000 0.000 [2 per cell]
Fe: 0.000 0.000 0.667 [2 per cell]
Sb: 0.000 0.000 0.333 [2 per cell]
O: 0.192 0.192 0.163 [4 per cell]
O: 0.194 0.194 0.835 [4 per cell]
O: 0.202 0.202 0.497 [4 per cell]

The 6 most intense peaks (15° ≤ 2θ ≤ 90°), low angle first:
21.43°, I = 248, hkl 1 0 1; 27.21°, I = 1000, hkl 1 1 0; 34.88°, I = 678, hkl 1 0 3; 53.20°, I = 656, hkl 2 1 3; 56.13°, I = 185, hkl 2 2 0; 67.81°, I = 226, hkl 3 0 3

=====

# 9
Yb2FeSbO7: theoretical powder X-ray diffraction pattern (Cu Kα (weighted mean of Kα1 and Kα2)), based on a PBE+U-relaxed structure.
Neutral-atom scattering factors, no anomalous dispersion.

Atomic structure:
a = 7.243 Å, b = 7.296 Å, c = 10.196 Å
α = 90.00°, β = 90.00°, γ = 90.00°
Space group Imma (No. 74)
Asymmetric unit:
Yb: 0.000 0.000 0.000 [4 per cell]
Yb: 0.250 0.250 0.250 [4 per cell]
Fe: 0.250 0.250 0.750 [4 per cell]
Sb: 0.000 0.000 0.500 [4 per cell]
O: 0.000 0.250 0.125 [4 per cell]
O: 0.000 0.250 0.416 [4 per cell]
O: 0.000 0.250 0.829 [4 per cell]
O: 0.206 0.046 0.626 [16 per cell]

The 6 most intense peaks (15° ≤ 2θ ≤ 90°), low angle first:
30.12°, I = 1000, hkl 0 2 2; 30.27°, I = 988, hkl 2 0 2; 34.91°, I = 446, hkl 2 2 0; 50.42°, I = 760, hkl 4 0 0; 59.58°, I = 285, hkl 2 4 2; 59.84°, I = 282, hkl 4 2 2

=====

# 10
Sr3ScFe2O8: theoretical powder X-ray diffraction pattern (Cu Kα (weighted mean of Kα1 and Kα2)), based on a PBE+U-relaxed structure.
Neutral-atom scattering factors, no anomalous dispersion.

Atomic structure:
a = 5.7487 Å, b = 5.7487 Å, c = 7.2347 Å
α = 90.00°, β = 90.00°, γ = 120.00°
Space group P-3m1 (No. 164)
Asymmetric unit:
Sr: 0.0000 0.0000 0.0000 [1 per cell]
Sr: 0.3333 0.6667 0.6383 [2 per cell]
Sc: 0.0000 0.0000 0.5000 [1 per cell]
Fe: 0.3333 0.6667 0.2040 [2 per cell]
O: 0.1655 0.3311 0.3229 [6 per cell]
O: 0.3333 0.6667 0.9566 [2 per cell]

The 6 most intense peaks (15° ≤ 2θ ≤ 90°), low angle first:
30.55°, I = 661, hkl 0 1 2; 31.12°, I = 1000, hkl 1 1 0; 44.17°, I = 447, hkl 2 0 2; 55.01°, I = 253, hkl 1 2 2; 55.36°, I = 184, hkl 3 0 0; 64.88°, I = 173, hkl 2 2 0

=====

# 11
Sc2FeTeO: theoretical powder X-ray diffraction pattern (Cu Kα (weighted mean of Kα1 and Kα2)), based on a PBE+U-relaxed structure.
Neutral-atom scattering factors, no anomalous dispersion.

Atomic structure:
a = 4.180 Å, b = 4.180 Å, c = 5.567 Å
α = 90.00°, β = 90.00°, γ = 90.00°
Space group P4/mmm (No. 123)
Asymmetric unit:
Sc: 0.000 0.500 0.000 [2 per cell]
Fe: 0.000 0.000 0.500 [1 per cell]
Te: 0.500 0.500 0.500 [1 per cell]
O: 0.500 0.500 0.000 [1 per cell]

The 6 most intense peaks (15° ≤ 2θ ≤ 90°), low angle first:
32.16°, I = 385, hkl 0 0 2; 34.35°, I = 1000, hkl 1 1 1; 43.29°, I = 324, hkl 2 0 0; 54.93°, I = 306, hkl 2 0 2; 58.75°, I = 201, hkl 1 1 3; 73.65°, I = 199, hkl 3 1 1

=====

What did the ninth record say?
Yb2FeSbO7: theoretical powder X-ray diffraction pattern (Cu Kα (weighted mean of Kα1 and Kα2)), based on a PBE+U-relaxed structure.
Neutral-atom scattering factors, no anomalous dispersion.

Atomic structure:
a = 7.243 Å, b = 7.296 Å, c = 10.196 Å
α = 90.00°, β = 90.00°, γ = 90.00°
Space group Imma (No. 74)
Asymmetric unit:
Yb: 0.000 0.000 0.000 [4 per cell]
Yb: 0.250 0.250 0.250 [4 per cell]
Fe: 0.250 0.250 0.750 [4 per cell]
Sb: 0.000 0.000 0.500 [4 per cell]
O: 0.000 0.250 0.125 [4 per cell]
O: 0.000 0.250 0.416 [4 per cell]
O: 0.000 0.250 0.829 [4 per cell]
O: 0.206 0.046 0.626 [16 per cell]

The 6 most intense peaks (15° ≤ 2θ ≤ 90°), low angle first:
30.12°, I = 1000, hkl 0 2 2; 30.27°, I = 988, hkl 2 0 2; 34.91°, I = 446, hkl 2 2 0; 50.42°, I = 760, hkl 4 0 0; 59.58°, I = 285, hkl 2 4 2; 59.84°, I = 282, hkl 4 2 2